Theoretical powder diffractogram
Compound: InSbO3
Radiation: Cu Kα, 1.54184 Å
Structure: a DFT-relaxed cell (GGA-PBE, the Materials Project)
No peak broadening, texture or thermal motion is included.

Cell: 4.1062 4.1062 4.1062 Å, 90.00 90.00 90.00°
Positions (direct):
In 0.0000 0.0000 0.0000
Sb 0.5000 0.5000 0.5000
O 0.0000 0.5000 0.5000
O 0.5000 0.0000 0.5000
O 0.5000 0.5000 0.0000

Most intense lines, 2θ from 5° to 70°, in order of rising 2θ:
Position (°2θ)	Rel. int.
21.64	1
30.79	100
37.95	2
44.11	30
54.76	39
64.15	18

***

Theoretical powder diffractogram
Compound: SrTe3O8
Radiation: Cu Kα, 1.54184 Å
Structure: a DFT-relaxed cell (GGA-PBE, the Materials Project)
No peak broadening, texture or thermal motion is included.

Cell: 6.9643 6.9643 6.8582 Å, 90.00 90.00 90.00°
Positions (direct):
Sr 0.0000 0.0000 0.2500
Sr 0.0000 0.0000 0.7500
Te 0.0000 0.5000 0.0000
Te 0.2152 0.4343 0.5000
Te 0.4343 0.7848 0.0000
Te 0.5000 0.0000 0.5000
Te 0.5657 0.2152 0.0000
Te 0.7848 0.5657 0.5000
O 0.0462 0.6776 0.5000
O 0.1171 0.7569 0.0000
O 0.1880 0.4122 0.1940
O 0.1880 0.4122 0.8060
O 0.2431 0.1171 0.5000
O 0.3224 0.0462 0.0000
O 0.4122 0.8120 0.3060
O 0.4122 0.8120 0.6940
O 0.5878 0.1880 0.3060
O 0.5878 0.1880 0.6940
O 0.6776 0.9538 0.0000
O 0.7569 0.8829 0.5000
O 0.8120 0.5878 0.1940
O 0.8120 0.5878 0.8060
O 0.8829 0.2431 0.0000
O 0.9538 0.3224 0.5000

Most intense lines, 2θ from 5° to 70°, in order of rising 2θ:
Position (°2θ)	Rel. int.
25.98	33
28.69	100
31.55	70
31.80	57
41.00	32
48.99	34

***

Theoretical powder diffractogram
Compound: TaNb
Radiation: Cu Kα, 1.54184 Å
Structure: a DFT-relaxed cell (GGA-PBE, the Materials Project)
No peak broadening, texture or thermal motion is included.

Cell: 2.8787 2.8787 4.6937 Å, 90.00 90.00 109.56°
Positions (direct):
Ta 0.0000 0.0000 0.0000
Nb 0.5000 0.5000 0.5000

Most intense lines, 2θ from 5° to 70°, in order of rising 2θ:
Position (°2θ)	Rel. int.
18.91	8
33.02	4
38.32	100
55.31	17
69.24	17
69.34	17

***

Theoretical powder diffractogram
Compound: K2Ti6O13
Radiation: Cu Kα, 1.54184 Å
Structure: a DFT-relaxed cell (GGA-PBE, the Materials Project)
No peak broadening, texture or thermal motion is included.

Cell: 8.1394 8.1394 9.2365 Å, 99.80 99.80 27.14°
Positions (direct):
K 0.0445 0.0445 0.2507
K 0.9555 0.9555 0.7493
Ti 0.2684 0.2684 0.7236
Ti 0.3285 0.3285 0.0625
Ti 0.3853 0.3853 0.4040
Ti 0.6147 0.6147 0.5960
Ti 0.6715 0.6715 0.9375
Ti 0.7316 0.7316 0.2764
O 0.1421 0.1421 0.6121
O 0.2034 0.2034 0.9286
O 0.2606 0.2606 0.2601
O 0.3336 0.3336 0.5855
O 0.3652 0.3652 0.8852
O 0.4214 0.4214 0.2098
O 0.5000 0.5000 0.5000
O 0.5786 0.5786 0.7902
O 0.6348 0.6348 0.1148
O 0.6664 0.6664 0.4145
O 0.7394 0.7394 0.7399
O 0.7966 0.7966 0.0714
O 0.8579 0.8579 0.3879

Most intense lines, 2θ from 5° to 70°, in order of rising 2θ:
Position (°2θ)	Rel. int.
11.36	82
13.61	43
29.02	59
29.68	100
32.79	36
47.61	42

***

Theoretical powder diffractogram
Compound: AlSn3Se2ClO8
Radiation: Cu Kα, 1.54184 Å
Structure: a DFT-relaxed cell (GGA-PBE, the Materials Project)
No peak broadening, texture or thermal motion is included.

Cell: 7.1359 8.9271 10.6884 Å, 90.07 98.90 90.11°
Positions (direct):
Al 0.0000 0.0000 0.0000
Al 0.4504 0.4997 0.5016
Sn 0.6102 0.1076 0.0320
Sn 0.6500 0.7713 0.7476
Sn 0.7141 0.2169 0.3513
Sn 0.7378 0.7176 0.1528
Sn 0.7989 0.2713 0.7555
Sn 0.8411 0.6079 0.4718
Se 0.1411 0.5039 0.2461
Se 0.2022 0.4476 0.7229
Se 0.2476 0.9489 0.7787
Se 0.3091 0.0042 0.2554
Cl 0.6563 0.5500 0.9334
Cl 0.7867 0.0486 0.5711
O 0.0459 0.6670 0.1755
O 0.1109 0.2791 0.7640
O 0.1355 0.8923 0.9057
O 0.1556 0.0834 0.1282
O 0.2976 0.5829 0.3723
O 0.3118 0.3925 0.5944
O 0.3378 0.7808 0.7360
O 0.4057 0.1672 0.3263
O 0.4564 0.0322 0.8505
O 0.4861 0.9364 0.1789
O 0.5938 0.6398 0.5850
O 0.6460 0.4109 0.4450
O 0.8055 0.9113 0.0583
O 0.8564 0.1401 0.9177
O 0.9644 0.4374 0.3236
O 0.9933 0.5318 0.6533

Most intense lines, 2θ from 5° to 70°, in order of rising 2θ:
Position (°2θ)	Rel. int.
12.56	54
12.99	74
23.59	100
24.68	53
25.27	45
27.91	61

***

Theoretical powder diffractogram
Compound: Lu5B4Rh15
Radiation: Cu Kα, 1.54184 Å
Structure: a DFT-relaxed cell (GGA-PBE, the Materials Project)
No peak broadening, texture or thermal motion is included.

Cell: 4.1850 4.1850 20.4819 Å, 90.00 90.00 90.00°
Positions (direct):
Lu 0.0000 0.0000 0.0000
Lu 0.0000 0.0000 0.2007
Lu 0.0000 0.0000 0.4028
Lu 0.0000 0.0000 0.5972
Lu 0.0000 0.0000 0.7993
B 0.5000 0.5000 0.1019
B 0.5000 0.5000 0.3091
B 0.5000 0.5000 0.6909
B 0.5000 0.5000 0.8981
Rh 0.0000 0.5000 0.1005
Rh 0.0000 0.5000 0.3017
Rh 0.0000 0.5000 0.5000
Rh 0.0000 0.5000 0.6983
Rh 0.0000 0.5000 0.8995
Rh 0.5000 0.0000 0.1005
Rh 0.5000 0.0000 0.3017
Rh 0.5000 0.0000 0.5000
Rh 0.5000 0.0000 0.6983
Rh 0.5000 0.0000 0.8995
Rh 0.5000 0.5000 0.0000
Rh 0.5000 0.5000 0.2031
Rh 0.5000 0.5000 0.4086
Rh 0.5000 0.5000 0.5914
Rh 0.5000 0.5000 0.7969

Most intense lines, 2θ from 5° to 70°, in order of rising 2θ:
Position (°2θ)	Rel. int.
30.54	4
37.49	100
43.24	35
44.22	16
62.80	12
63.56	21

***

Theoretical powder diffractogram
Compound: Ba4Sb2O9
Radiation: Cu Kα, 1.54184 Å
Structure: a DFT-relaxed cell (GGA-PBE, the Materials Project)
No peak broadening, texture or thermal motion is included.

Cell: 6.1041 6.1041 17.0624 Å, 90.00 90.00 120.00°
Positions (direct):
Ba 0.0000 0.0000 0.0000
Ba 0.0000 0.0000 0.2500
Ba 0.0000 0.0000 0.5000
Ba 0.0000 0.0000 0.7500
Ba 0.3333 0.6667 0.1284
Ba 0.3333 0.6667 0.3716
Ba 0.6667 0.3333 0.6284
Ba 0.6667 0.3333 0.8716
Sb 0.3333 0.6667 0.6630
Sb 0.3333 0.6667 0.8370
Sb 0.6667 0.3333 0.1630
Sb 0.6667 0.3333 0.3370
O 0.0394 0.5197 0.7500
O 0.1711 0.3423 0.6102
O 0.1711 0.3423 0.8898
O 0.1711 0.8289 0.6102
O 0.1711 0.8289 0.8898
O 0.3423 0.1711 0.1102
O 0.3423 0.1711 0.3898
O 0.4803 0.5197 0.7500
O 0.4803 0.9606 0.7500
O 0.5197 0.0394 0.2500
O 0.5197 0.4803 0.2500
O 0.6577 0.8289 0.6102
O 0.6577 0.8289 0.8898
O 0.8289 0.1711 0.1102
O 0.8289 0.1711 0.3898
O 0.8289 0.6577 0.1102
O 0.8289 0.6577 0.3898
O 0.9606 0.4803 0.2500

Most intense lines, 2θ from 5° to 70°, in order of rising 2θ:
Position (°2θ)	Rel. int.
26.86	90
29.26	100
40.13	50
50.44	31
51.89	20
60.69	19

***

Theoretical powder diffractogram
Compound: YNi3Sn2
Radiation: Cu Kα, 1.54184 Å
Structure: a DFT-relaxed cell (GGA-PBE, the Materials Project)
No peak broadening, texture or thermal motion is included.

Cell: 9.4901 9.4901 4.0564 Å, 90.00 90.00 120.00°
Positions (direct):
Y 0.0000 0.0000 0.0000
Y 0.3333 0.6667 0.5000
Y 0.6667 0.3333 0.5000
Ni 0.0000 0.5000 0.0000
Ni 0.1834 0.3668 0.0000
Ni 0.1834 0.8166 0.0000
Ni 0.3668 0.1834 0.0000
Ni 0.5000 0.0000 0.0000
Ni 0.5000 0.5000 0.0000
Ni 0.6332 0.8166 0.0000
Ni 0.8166 0.1834 0.0000
Ni 0.8166 0.6332 0.0000
Sn 0.0000 0.3230 0.5000
Sn 0.0000 0.6770 0.5000
Sn 0.3230 0.0000 0.5000
Sn 0.3230 0.3230 0.5000
Sn 0.6770 0.0000 0.5000
Sn 0.6770 0.6770 0.5000

Most intense lines, 2θ from 5° to 70°, in order of rising 2θ:
Position (°2θ)	Rel. int.
18.70	23
32.69	50
39.70	100
44.23	46
44.68	29
56.45	22